For Ca5SmCd6, the GGA-PBE geometry in Alexandria gives the simulated powder diffraction line list in this record (Cu Kα X-rays).
Peak positions follow from Bragg's law for the DFT cell and can differ from measured ones.

Top 12 peaks for 5° ≤ 2θ ≤ 70°, by intensity:
d (Å)  two_theta  Rel. int.
2.711  33.0  100
2.698  33.2  20
1.568  58.9  14
1.564  59.1  14
1.561  59.2  14
1.911  47.6  14
3.822  23.3  9
1.356  69.3  8
1.926  47.2  7
3.851  23.1  5
2.212  40.8  4
7.702  11.5  3

Structure:
```
12
Lattice="2.706 -8.095 0.000 2.706 8.095 0.000 0.000 0.000 7.702" Properties=species:S:1:pos:R:3 pbc="T T T"
Ca 0.000 0.000 0.000
Ca 2.706 2.698 0.000
Ca 2.706 2.706 3.851
Ca 2.706 -2.698 0.000
Ca 2.706 -2.706 3.851
Sm 0.000 0.000 3.851
Cd 2.706 5.419 1.946
Cd 2.706 5.419 5.756
Cd 2.706 0.000 1.970
Cd 2.706 0.000 5.733
Cd 2.706 -5.419 1.946
Cd 2.706 -5.419 5.756
```

For La2NdScO6, the GGA-PBE geometry in Alexandria gives the simulated powder diffraction line list in this record (Cu Kα X-rays).
Peak positions follow from Bragg's law for the DFT cell and can differ from measured ones.

Top 12 peaks for 5° ≤ 2θ ≤ 70°, by intensity:
d (Å)  two_theta  Rel. int.
3.013  29.7  100
2.989  29.9  98
3.041  29.4  43
2.929  30.5  42
2.109  42.9  40
1.747  52.4  36
2.135  42.3  24
1.698  54.0  23
1.711  53.6  22
1.869  48.7  16
4.805  18.5  14
4.954  17.9  14

Structure:
```
20
Lattice="5.858 0.000 0.000 0.000 6.082 0.000 -5.763 0.000 8.539" Properties=species:S:1:pos:R:3 pbc="T T T"
La -0.077 0.299 2.152
La -2.959 2.742 6.422
La 3.053 3.340 2.117
La 0.172 5.783 6.386
Nd 2.929 0.000 0.000
Nd 0.047 3.041 4.269
Sc -2.881 0.000 4.269
Sc 0.000 3.041 0.000
O -4.716 1.263 7.908
O -1.835 1.778 3.639
O -4.056 4.155 7.982
O -1.175 4.968 3.713
O -2.099 0.368 6.283
O 0.783 2.673 2.013
O -0.688 3.409 6.525
O 2.194 5.714 2.256
O 1.270 1.114 4.826
O 4.151 1.927 0.557
O 1.929 4.304 4.900
O 4.811 4.819 0.631
```

For Li6Cd2Ir, the GGA-PBE geometry in Alexandria gives the simulated powder diffraction line list in this record (Cu Kα X-rays).
Peak positions follow from Bragg's law for the DFT cell and can differ from measured ones.

Top 12 peaks for 5° ≤ 2θ ≤ 70°, by intensity:
d (Å)  two_theta  Rel. int.
3.915  22.7  100
2.234  40.4  34
2.261  39.9  29
2.227  40.5  17
1.958  46.4  15
2.716  33.0  12
1.480  62.8  12
6.782  13.1  12
1.740  52.6  10
1.734  52.8  9
1.591  58.0  6
1.589  58.1  6

Structure:
```
9
Lattice="6.778 -3.918 0.000 6.778 3.918 0.000 -0.014 0.000 2.716" Properties=species:S:1:pos:R:3 pbc="T T T"
Li 4.282 1.235 0.004
Li 6.778 2.682 0.000
Li 4.282 -1.235 0.004
Li 8.919 1.444 0.010
Li 6.778 -2.682 0.000
Li 8.919 -1.444 0.010
Cd 6.655 0.000 1.363
Cd 11.170 0.000 1.363
Ir 2.134 0.000 1.363
```

For Tm3Bi2P, the GGA-PBE geometry in Alexandria gives the simulated powder diffraction line list in this record (Cu Kα X-rays).
Peak positions follow from Bragg's law for the DFT cell and can differ from measured ones.

Top 12 peaks for 5° ≤ 2θ ≤ 70°, by intensity:
d (Å)  two_theta  Rel. int.
3.028  29.5  100
2.141  42.2  73
1.748  52.3  25
1.355  69.4  23
2.769  32.3  18
1.515  61.2  9
1.694  54.1  9
1.539  60.1  9
9.071  9.8  7
1.353  69.5  7
4.170  21.3  6
4.535  19.6  6

Structure:
```
12
Lattice="4.284 0.000 0.000 0.000 4.284 0.000 0.000 0.000 18.141" Properties=species:S:1:pos:R:3 pbc="T T T"
Tm 0.000 0.000 0.000
Tm 0.000 0.000 6.343
Tm 0.000 0.000 11.798
Tm 2.142 2.142 2.728
Tm 2.142 2.142 9.071
Tm 2.142 2.142 15.413
Bi 0.000 0.000 3.103
Bi 0.000 0.000 15.038
Bi 2.142 2.142 5.968
Bi 2.142 2.142 12.173
P 0.000 0.000 9.071
P 2.142 2.142 0.000
```